No. 1
Diffraction record for SrCd4Au4. The X-ray powder pattern is computed, not measured: it uses a DFT-relaxed cell (GGA-PBE, Alexandria) and copper Kα.
Peak positions follow from Bragg's law for the DFT cell and can differ from measured ones.

The 10 most intense peaks (2θ = 10–90°), in order of rising 2θ:
2θ/deg  intensity
16.1  40
20.1  50
27.2  57
30.0  90
32.9  45
35.9  97
39.8  100
41.5  40
41.7  50
49.5  43

Structure:
a b c (Å): 7.0680 7.0680 8.8411
angles (deg): 90.00 90.00 90.00
Fractional coordinates of all 18 atoms:
Sr1 0.2500 0.7500 0.2500
Sr2 0.7500 0.2500 0.7500
Cd1 0.0068 0.7500 0.6363
Cd2 0.2500 0.5068 0.8637
Cd3 0.2500 0.9932 0.8637
Cd4 0.4932 0.7500 0.6363
Cd5 0.5068 0.2500 0.3637
Cd6 0.7500 0.0068 0.1363
Cd7 0.7500 0.4932 0.1363
Cd8 0.9932 0.2500 0.3637
Au1 0.0494 0.2500 0.0472
Au2 0.2500 0.0494 0.5472
Au3 0.2500 0.4506 0.5472
Au4 0.4506 0.2500 0.0472
Au5 0.5494 0.7500 0.9528
Au6 0.7500 0.5494 0.4528
Au7 0.7500 0.9506 0.4528
Au8 0.9506 0.7500 0.9528


No. 2
Diffraction record for Sr2ZnCd2Au4. The X-ray powder pattern is computed, not measured: it uses a DFT-relaxed cell (GGA-PBE, Alexandria) and copper Kα.
Peak positions follow from Bragg's law for the DFT cell and can differ from measured ones.

The 10 most intense peaks (2θ = 10–90°), in order of rising 2θ:
2θ/deg  intensity
20.5  19
32.6  100
35.7  57
41.6  13
41.8  12
42.3  9
51.4  20
56.1  20
62.2  31
68.3  11

Structure:
a b c (Å): 6.6288 6.6288 6.6288
angles (deg): 115.17 115.17 98.60
Fractional coordinates of all 9 atoms:
Sr1 0.2500 0.7500 0.5000
Sr2 0.7500 0.2500 0.5000
Zn1 0.0000 0.0000 0.0000
Cd1 0.3157 0.3157 0.0000
Cd2 0.6843 0.6843 0.0000
Au1 0.2579 0.2579 0.5157
Au2 0.2579 0.7421 0.0000
Au3 0.7421 0.2579 0.0000
Au4 0.7421 0.7421 0.4843


No. 3
Diffraction record for Tb4CdAu7. The X-ray powder pattern is computed, not measured: it uses a DFT-relaxed cell (GGA-PBE, Alexandria) and copper Kα.
Peak positions follow from Bragg's law for the DFT cell and can differ from measured ones.

The 10 most intense peaks (2θ = 10–90°), in order of rising 2θ:
2θ/deg  intensity
31.1  43
34.1  30
34.4  73
35.5  100
36.2  19
37.2  24
38.0  20
47.0  28
47.3  20
48.4  18

Structure:
a b c (Å): 7.5774 7.5774 9.1738
angles (deg): 121.75 121.75 40.25
Fractional coordinates of all 12 atoms:
Tb1 0.0630 0.0630 0.2434
Tb2 0.2389 0.2389 0.7634
Tb3 0.7611 0.7611 0.2366
Tb4 0.9370 0.9370 0.7566
Cd1 0.5000 0.5000 0.5000
Au1 0.0000 0.0000 0.5000
Au2 0.1838 0.1838 0.0544
Au3 0.3112 0.3112 0.5247
Au4 0.4273 0.4273 0.1380
Au5 0.5727 0.5727 0.8620
Au6 0.6888 0.6888 0.4753
Au7 0.8162 0.8162 0.9456


What did the first record say?
Diffraction record for SrCd4Au4. The X-ray powder pattern is computed, not measured: it uses a DFT-relaxed cell (GGA-PBE, Alexandria) and copper Kα.
Peak positions follow from Bragg's law for the DFT cell and can differ from measured ones.

The 10 most intense peaks (2θ = 10–90°), in order of rising 2θ:
2θ/deg  intensity
16.1  40
20.1  50
27.2  57
30.0  90
32.9  45
35.9  97
39.8  100
41.5  40
41.7  50
49.5  43

Structure:
a b c (Å): 7.0680 7.0680 8.8411
angles (deg): 90.00 90.00 90.00
Fractional coordinates of all 18 atoms:
Sr1 0.2500 0.7500 0.2500
Sr2 0.7500 0.2500 0.7500
Cd1 0.0068 0.7500 0.6363
Cd2 0.2500 0.5068 0.8637
Cd3 0.2500 0.9932 0.8637
Cd4 0.4932 0.7500 0.6363
Cd5 0.5068 0.2500 0.3637
Cd6 0.7500 0.0068 0.1363
Cd7 0.7500 0.4932 0.1363
Cd8 0.9932 0.2500 0.3637
Au1 0.0494 0.2500 0.0472
Au2 0.2500 0.0494 0.5472
Au3 0.2500 0.4506 0.5472
Au4 0.4506 0.2500 0.0472
Au5 0.5494 0.7500 0.9528
Au6 0.7500 0.5494 0.4528
Au7 0.7500 0.9506 0.4528
Au8 0.9506 0.7500 0.9528